For CrPdNO, a DFT-relaxed cell (GGA+U, Alexandria) gives the simulated X-ray powder pattern in this record (Cu Kα, 1.54184 Å).
Kinematic intensities with the Lorentz-polarization factor, no thermal factor.

Main lines, in order of falling intensity (5 to 70 degrees two-theta):
| index | Position (°2θ) | I (rel.) |
| --- | --- | --- |
| 1 1 -1 | 36.28 | 1000 |
| 0 0 2 | 29.32 | 655 |
| 3 1 -1 | 62.22 | 561 |
| 2 0 0 | 35.99 | 499 |
| 1 1 1 | 40.19 | 474 |
| 1 1 -3 | 53.68 | 348 |
| 2 0 -2 | 40.04 | 244 |
| 0 0 1 | 14.54 | 234 |
| 1 1 0 | 35.21 | 231 |
| 2 0 2 | 53.39 | 175 |

Structure:
abc: 5.183 2.965 6.328
angles: 90.00 105.69 90.00
Space group Cm (No. 8)
One atom of each set of equivalent atoms:
Cr: 0.000 0.000 0.000 x2
Pd: 0.015 0.500 0.516 x2
N: 0.123 0.500 0.833 x2
O: 0.399 0.000 0.178 x2